# Li8Ag3Pd2
Calculated powder XRD pattern, Cu Ka. Input: the GGA-PBE geometry in Alexandria.
Neutral-atom scattering factors, no anomalous dispersion.

Largest 10 diffraction maxima, in order of rising 2θ, 2θ = 15–90°:
Position (°2θ)	I (rel.)
23.65	891
24.08	1000
26.41	745
27.93	419
31.60	963
37.81	401
39.78	431
40.85	752
41.64	846
48.38	274

```
Li8Ag3Pd2
1.0
3.6255 -6.7499 0.0000
3.6255 6.7499 0.0000
0.0000 0.0000 4.5320
Li Ag Pd
8 3 2
Cartesian
3.6255 5.2025 0.0000
2.1836 1.6354 2.2660
3.6255 2.5439 0.0000
2.1836 -1.6354 2.2660
5.0674 1.6354 2.2660
3.6255 -2.5439 0.0000
5.0674 -1.6354 2.2660
3.6255 -5.2025 0.0000
0.0000 0.0000 2.2660
2.2456 0.0000 0.0000
5.0054 0.0000 0.0000
3.6255 3.8332 2.2660
3.6255 -3.8332 2.2660
```